# Ho4InSnC
Computed powder X-ray diffraction pattern, λ = 1.5418 Å (Cu Kα). Input: DFT lattice parameters and positions (GGA-PBE).
Intensities are scaled so that the largest is 100.

Structure:
Lattice parameters (Å, degrees): 6.8081 15.7047 6.8023 90.00 90.00 90.00
Space group Cmcm (No. 63)
Asymmetric unit:
Ho 0.0000 0.0900 0.2500 (multiplicity 4)
Ho 0.0000 0.4104 0.2500 (multiplicity 4)
Ho 0.2500 0.2500 0.0000 (multiplicity 8)
In 0.0000 0.1123 0.7500 (multiplicity 4)
Sn 0.0000 0.3880 0.7500 (multiplicity 4)
C 0.0000 0.2494 0.2500 (multiplicity 4)

Main lines, by angle (2θ = 10–90°):
index	two_theta	intensity
2 2 0	28.6	73
0 6 0	34.3	27
2 4 0	34.9	100
2 0 2	37.4	60
2 6 2	51.6	34
4 0 0	53.9	23
0 6 4	65.5	25
4 4 2	65.8	32

=====

# La4HoC10
Computed powder X-ray diffraction pattern, λ = 1.5418 Å (Cu Kα). Input: DFT lattice parameters and positions (GGA-PBE).
Intensities are scaled so that the largest is 100.

Structure:
Lattice parameters (Å, degrees): 5.5027 6.5120 27.5009 90.00 90.00 90.00
Space group Fmmm (No. 69)
Asymmetric unit:
La 0.0000 0.0000 0.0983 (multiplicity 8)
La 0.0000 0.0000 0.3011 (multiplicity 8)
Ho 0.0000 0.0000 0.5000 (multiplicity 4)
C 0.0000 0.1004 0.0000 (multiplicity 8)
C 0.0000 0.0996 0.1997 (multiplicity 16)
C 0.0000 0.0996 0.4051 (multiplicity 16)

Main lines, by angle (2θ = 10–90°):
index	two_theta	intensity
1 1 5	26.7	100
0 2 0	27.4	35
2 0 0	32.6	53
2 2 0	43.0	40
1 3 5	48.0	29
3 1 5	54.6	30
2 2 10	55.0	19
3 3 5	69.2	19

=====

# La2HoOsC2
Computed powder X-ray diffraction pattern, λ = 1.5418 Å (Cu Kα). Input: DFT lattice parameters and positions (GGA-PBE).
Intensities are scaled so that the largest is 100.

Structure:
Lattice parameters (Å, degrees): 5.7635 11.3907 3.8573 90.00 90.00 90.00
Space group Pnnm (No. 58)
Asymmetric unit:
La 0.0517 0.2080 0.0000 (multiplicity 4)
Ho 0.0000 0.5000 0.5000 (multiplicity 2)
Os 0.0000 0.0000 0.5000 (multiplicity 2)
C 0.2222 0.5996 0.0000 (multiplicity 4)

Main lines, by angle (2θ = 10–90°):
index	two_theta	intensity
2 0 0	31.0	24
0 4 0	31.4	17
1 2 1	32.0	100
2 4 0	44.7	13
0 0 2	47.1	10
3 2 1	55.8	16
2 4 2	67.0	9
1 2 3	78.0	11

=====

# Ho12Mn5C15
Computed powder X-ray diffraction pattern, λ = 1.5418 Å (Cu Kα). Input: DFT lattice parameters and positions (GGA-PBE).
Intensities are scaled so that the largest is 100.

Structure:
Lattice parameters (Å, degrees): 10.4233 10.4233 5.0227 90.00 90.00 120.00
Space group P-62m (No. 189)
Asymmetric unit:
Ho 0.0000 0.4315 0.0000 (multiplicity 3)
Ho 0.0000 0.7939 0.0000 (multiplicity 3)
Ho 0.1862 0.7311 0.5000 (multiplicity 6)
Mn 0.0000 0.1535 0.5000 (multiplicity 3)
Mn 0.3333 0.6667 0.0000 (multiplicity 2)
C 0.0000 0.3254 0.5000 (multiplicity 3)
C 0.0000 0.4556 0.5000 (multiplicity 3)
C 0.0000 0.7981 0.5000 (multiplicity 3)
C 0.1936 0.7180 0.0000 (multiplicity 6)

Main lines, by angle (2θ = 10–90°):
index	two_theta	intensity
2 0 1	26.6	12
2 1 1	31.7	100
2 2 0	34.4	14
0 0 2	35.8	31
3 1 0	35.9	27
5 0 0	50.5	14
3 1 2	51.5	19
2 1 3	61.7	16

=====

# Ho10Mn13C18
Computed powder X-ray diffraction pattern, λ = 1.5418 Å (Cu Kα). Input: DFT lattice parameters and positions (GGA-PBE).
Intensities are scaled so that the largest is 100.

Structure:
Lattice parameters (Å, degrees): 10.0470 10.0470 10.0470 90.00 90.00 90.00
Space group I-43m (No. 217)
Asymmetric unit:
Ho 0.0000 0.2500 0.5000 (multiplicity 12)
Ho 0.2053 0.2053 0.7947 (multiplicity 8)
Mn 0.0000 0.0000 0.0000 (multiplicity 2)
Mn 0.0766 0.0766 0.2566 (multiplicity 24)
C 0.0000 0.0000 0.4312 (multiplicity 12)
C 0.0373 0.2578 0.2578 (multiplicity 24)

Main lines, by angle (2θ = 10–90°):
index	two_theta	intensity
3 1 0	28.1	25
2 2 2	30.8	100
3 2 1	33.4	78
4 0 0	35.7	62
4 1 1	38.0	57
4 4 0	51.5	24
5 3 2	56.5	47
7 2 1	68.6	25

=====

# Ho2MnC4
Computed powder X-ray diffraction pattern, λ = 1.5418 Å (Cu Kα). Input: DFT lattice parameters and positions (GGA-PBE).
Intensities are scaled so that the largest is 100.

Structure:
Lattice parameters (Å, degrees): 7.5547 9.5232 5.0249 90.00 90.00 90.00
Space group Ibam (No. 72)
Asymmetric unit:
Ho 0.1554 0.1449 0.0000 (multiplicity 8)
Mn 0.0000 0.5000 0.2500 (multiplicity 4)
C 0.1578 0.1288 0.5000 (multiplicity 8)
C 0.1711 0.4207 0.0000 (multiplicity 8)

Main lines, by angle (2θ = 10–90°):
index	two_theta	intensity
1 2 1	28.4	100
1 3 0	30.5	45
2 1 1	31.1	85
0 0 2	35.7	26
3 1 0	36.9	30
1 1 2	38.9	24
0 4 2	53.0	23
3 3 2	59.6	32

=====

# Ho2Mn17C3
Computed powder X-ray diffraction pattern, λ = 1.5418 Å (Cu Kα). Input: DFT lattice parameters and positions (GGA-PBE).
Intensities are scaled so that the largest is 100.

Structure:
Lattice parameters (Å, degrees): 8.5619 8.5619 8.3418 90.00 90.00 120.00
Space group P6_3/mmc (No. 194)
Asymmetric unit:
Ho 0.0000 0.0000 0.2500 (multiplicity 2)
Ho 0.3333 0.6667 0.2500 (multiplicity 2)
Mn 0.0000 0.5000 0.0000 (multiplicity 6)
Mn 0.0543 0.3823 0.7500 (multiplicity 12)
Mn 0.1756 0.3513 0.0209 (multiplicity 12)
Mn 0.3333 0.6667 0.6161 (multiplicity 4)
C 0.1637 0.3274 0.2500 (multiplicity 6)

Main lines, by angle (2θ = 10–90°):
index	two_theta	intensity
1 1 2	29.9	52
3 0 0	36.3	38
2 0 3	40.6	35
2 2 0	42.2	70
3 0 2	42.5	100
0 0 4	43.4	34
2 1 3	46.0	20
4 1 2	61.5	24

=====

# HoMn2PC
Computed powder X-ray diffraction pattern, λ = 1.5418 Å (Cu Kα). Input: DFT lattice parameters and positions (GGA-PBE).
Intensities are scaled so that the largest is 100.

Structure:
Lattice parameters (Å, degrees): 3.6276 10.4233 6.8656 90.00 90.00 90.00
Space group Cmcm (No. 63)
Asymmetric unit:
Ho 0.0000 0.0433 0.2500 (multiplicity 4)
Mn 0.0000 0.3291 0.0577 (multiplicity 8)
P 0.0000 0.2338 0.7500 (multiplicity 4)
C 0.0000 0.5000 0.0000 (multiplicity 4)

Main lines, by angle (2θ = 10–90°):
index	two_theta	intensity
0 0 2	26.0	38
0 2 2	31.2	37
1 3 0	35.8	52
0 4 1	36.9	43
1 1 2	37.1	100
1 3 1	38.2	43
2 2 2	60.4	23
1 5 3	65.9	23